Entry 1:
Structure and theoretical PXRD pattern of Li4Ge2Pb (DFT lattice parameters and positions (PBE); Cu Ka).
Neutral-atom scattering factors, no anomalous dispersion.

Principal peaks in the range 10 to 90 degrees two-theta, by intensity:
26.6 deg, d 3.352, I 100; 19.4 deg, d 4.577, I 42; 38.7 deg, d 2.328, I 37; 31.6 deg, d 2.830, I 26; 43.5 deg, d 2.079, I 25; 48.1 deg, d 1.893, I 24; 47.0 deg, d 1.932, I 17; 51.7 deg, d 1.767, I 17; 69.9 deg, d 1.346, I 14; 24.7 deg, d 3.602, I 11; 59.6 deg, d 1.551, I 10; 76.6 deg, d 1.243, I 10

Atomic structure:
Cell lengths 4.1588, 4.1588, 9.1546 Å; angles 90.00, 90.00, 120.00 degrees
Space group P-3m1 (No. 164)
One atom of each set of equivalent atoms:
Li: 0.3333 0.6667 0.2730
Li: 0.3333 0.6667 0.8552
Ge: 0.3333 0.6667 0.5609
Pb: 0.0000 0.0000 0.0000


Entry 2:
Structure and theoretical PXRD pattern of Li6Ge2Pb (DFT lattice parameters and positions (PBE); Cu Ka).
Neutral-atom scattering factors, no anomalous dispersion.

Principal peaks in the range 10 to 90 degrees two-theta, by intensity:
15.2 deg, d 5.811, I 100; 31.0 deg, d 2.881, I 71; 22.1 deg, d 4.014, I 41; 38.7 deg, d 2.327, I 39; 31.4 deg, d 2.852, I 39; 30.8 deg, d 2.905, I 33; 39.3 deg, d 2.290, I 25; 24.8 deg, d 3.597, I 24; 59.6 deg, d 1.552, I 17; 42.4 deg, d 2.130, I 17; 50.8 deg, d 1.798, I 17; 22.3 deg, d 3.987, I 16

Atomic structure:
Cell lengths 8.106, 8.335, 4.580 Å; angles 90.00, 90.00, 90.00 degrees
Space group Pnnm (No. 58)
One atom of each set of equivalent atoms:
Li: 0.014 0.174 0.000
Li: 0.156 0.079 0.500
Li: 0.186 0.401 0.500
Ge: 0.161 0.745 0.500
Pb: 0.000 0.500 0.000


Entry 3:
Structure and theoretical PXRD pattern of Li5GePb2 (DFT lattice parameters and positions (PBE); Cu Ka).
Neutral-atom scattering factors, no anomalous dispersion.

Principal peaks in the range 10 to 90 degrees two-theta, by intensity:
13.3 deg, d 6.652, I 100; 26.4 deg, d 3.377, I 91; 38.0 deg, d 2.370, I 84; 29.7 deg, d 3.011, I 68; 26.8 deg, d 3.326, I 44; 37.7 deg, d 2.388, I 43; 46.8 deg, d 1.940, I 40; 68.2 deg, d 1.375, I 31; 40.1 deg, d 2.248, I 30; 61.4 deg, d 1.510, I 18; 61.6 deg, d 1.506, I 18; 62.2 deg, d 1.492, I 18

Atomic structure:
Cell lengths 4.776, 4.776, 13.304 Å; angles 90.00, 90.00, 90.00 degrees
Space group I4/mmm (No. 139)
One atom of each set of equivalent atoms:
Li: 0.000 0.000 0.000
Li: 0.000 0.500 0.111
Ge: 0.000 0.000 0.500
Pb: 0.000 0.000 0.251


Entry 4:
Structure and theoretical PXRD pattern of LiGe4Pd4 (DFT lattice parameters and positions (PBE); Cu Ka).
Neutral-atom scattering factors, no anomalous dispersion.

Principal peaks in the range 10 to 90 degrees two-theta, by intensity:
29.7 deg, d 3.013, I 100; 40.0 deg, d 2.254, I 61; 50.6 deg, d 1.805, I 42; 57.9 deg, d 1.594, I 20; 46.3 deg, d 1.960, I 19; 49.3 deg, d 1.847, I 16; 35.9 deg, d 2.505, I 15; 83.5 deg, d 1.158, I 13; 65.3 deg, d 1.429, I 13; 66.4 deg, d 1.409, I 12; 53.6 deg, d 1.709, I 12; 33.3 deg, d 2.689, I 12

Atomic structure:
Cell lengths 6.375, 6.375, 8.100 Å; angles 90.00, 90.00, 90.00 degrees
Space group I-42m (No. 121)
One atom of each set of equivalent atoms:
Li: 0.000 0.000 0.000
Ge: 0.233 0.233 0.158
Pd: 0.000 0.000 0.326
Pd: 0.000 0.500 0.000


Entry 5:
Structure and theoretical PXRD pattern of Li2Ge3Pd (DFT lattice parameters and positions (PBE); Cu Ka).
Neutral-atom scattering factors, no anomalous dispersion.

Principal peaks in the range 10 to 90 degrees two-theta, by intensity:
10.7 deg, d 8.301, I 100; 40.4 deg, d 2.233, I 90; 40.1 deg, d 2.250, I 82; 22.0 deg, d 4.048, I 73; 51.4 deg, d 1.777, I 43; 28.9 deg, d 3.092, I 42; 35.2 deg, d 2.548, I 34; 43.6 deg, d 2.075, I 33; 38.8 deg, d 2.318, I 33; 86.5 deg, d 1.125, I 27; 70.3 deg, d 1.338, I 24; 69.7 deg, d 1.350, I 22

Atomic structure:
Cell lengths 5.3540, 5.3540, 8.3008 Å; angles 90.00, 90.00, 120.00 degrees
Space group P-3m1 (No. 164)
One atom of each set of equivalent atoms:
Li: 0.0000 0.0000 0.0000
Li: 0.0000 0.0000 0.5000
Li: 0.3333 0.6667 0.4339
Ge: 0.1668 0.3336 0.7509
Pd: 0.3333 0.6667 0.9990


Entry 6:
Structure and theoretical PXRD pattern of Li3Ge2Pd3 (DFT lattice parameters and positions (PBE); Cu Ka).
Neutral-atom scattering factors, no anomalous dispersion.

Principal peaks in the range 10 to 90 degrees two-theta, by intensity:
42.1 deg, d 2.147, I 100; 25.4 deg, d 3.506, I 33; 76.9 deg, d 1.240, I 32; 61.0 deg, d 1.518, I 16; 29.4 deg, d 3.037, I 16; 49.8 deg, d 1.831, I 15; 12.6 deg, d 7.015, I 15; 24.3 deg, d 3.662, I 10; 67.2 deg, d 1.393, I 6; 69.2 deg, d 1.358, I 5; 82.5 deg, d 1.169, I 5; 32.1 deg, d 2.787, I 4

Atomic structure:
Cell lengths 4.2938, 4.2938, 21.0441 Å; angles 90.00, 90.00, 120.00 degrees
Space group R3m (No. 160, hexagonal axes)
One atom of each set of equivalent atoms:
Li: 0.0000 0.0000 0.0000
Li: 0.0000 0.0000 0.1251
Li: 0.0000 0.0000 0.4972
Ge: 0.0000 0.0000 0.2515
Ge: 0.0000 0.0000 0.7478
Pd: 0.0000 0.0000 0.3740
Pd: 0.0000 0.0000 0.6230
Pd: 0.0000 0.0000 0.8733


Entry 7:
Structure and theoretical PXRD pattern of LiGe3Pd6 (DFT lattice parameters and positions (PBE); Cu Ka).
Neutral-atom scattering factors, no anomalous dispersion.

Principal peaks in the range 10 to 90 degrees two-theta, by intensity:
44.3 deg, d 2.044, I 100; 42.6 deg, d 2.121, I 89; 45.2 deg, d 2.008, I 73; 39.2 deg, d 2.297, I 52; 38.8 deg, d 2.322, I 46; 28.0 deg, d 3.191, I 42; 34.8 deg, d 2.578, I 30; 35.1 deg, d 2.555, I 27; 36.8 deg, d 2.442, I 25; 43.7 deg, d 2.073, I 24; 19.2 deg, d 4.613, I 24; 40.9 deg, d 2.208, I 21

Atomic structure:
Cell lengths 8.506, 4.086, 9.967 Å; angles 90.00, 112.23, 90.00 degrees
Space group P2_1/m (No. 11)
One atom of each set of equivalent atoms:
Li: 0.102 0.250 0.218
Ge: 0.205 0.750 0.664
Ge: 0.296 0.250 0.034
Ge: 0.414 0.250 0.550
Pd: 0.099 0.250 0.779
Pd: 0.107 0.250 0.492
Pd: 0.131 0.750 0.054
Pd: 0.269 0.750 0.387
Pd: 0.383 0.750 0.922
Pd: 0.463 0.250 0.299


Entry 8:
Structure and theoretical PXRD pattern of Li3Ge2Pd6 (DFT lattice parameters and positions (PBE); Cu Ka).
Neutral-atom scattering factors, no anomalous dispersion.

Principal peaks in the range 10 to 90 degrees two-theta, by intensity:
41.2 deg, d 2.191, I 100; 13.5 deg, d 6.573, I 83; 23.4 deg, d 3.795, I 49; 19.1 deg, d 4.648, I 40; 43.5 deg, d 2.079, I 39; 36.2 deg, d 2.484, I 38; 75.1 deg, d 1.265, I 38; 54.0 deg, d 1.697, I 27; 89.5 deg, d 1.095, I 26; 47.9 deg, d 1.897, I 24; 50.0 deg, d 1.823, I 17; 38.7 deg, d 2.324, I 14

Atomic structure:
Cell lengths 9.296, 9.296, 9.296 Å; angles 90.00, 90.00, 90.00 degrees
Space group Im-3m (No. 229)
One atom of each set of equivalent atoms:
Li: 0.000 0.000 0.334
Ge: 0.250 0.250 0.250
Pd: 0.000 0.318 0.318


Entry 9:
Structure and theoretical PXRD pattern of Li2Ge3Pd3 (DFT lattice parameters and positions (PBE); Cu Ka).
Neutral-atom scattering factors, no anomalous dispersion.

Principal peaks in the range 10 to 90 degrees two-theta, by intensity:
38.8 deg, d 2.319, I 100; 25.9 deg, d 3.447, I 82; 41.7 deg, d 2.166, I 70; 40.4 deg, d 2.234, I 62; 46.5 deg, d 1.955, I 49; 50.1 deg, d 1.820, I 49; 23.2 deg, d 3.840, I 44; 35.0 deg, d 2.560, I 42; 34.5 deg, d 2.602, I 38; 47.3 deg, d 1.923, I 33; 11.5 deg, d 7.681, I 30; 68.4 deg, d 1.371, I 21

Atomic structure:
Cell lengths 3.909, 8.299, 15.361 Å; angles 90.00, 90.00, 90.00 degrees
Space group Cmcm (No. 63)
One atom of each set of equivalent atoms:
Li: 0.000 0.240 0.155
Ge: 0.000 0.058 0.580
Ge: 0.000 0.121 0.750
Pd: 0.000 0.354 0.545
Pd: 0.000 0.431 0.750


Entry 10:
Structure and theoretical PXRD pattern of LiGe2Pd2 (DFT lattice parameters and positions (PBE); Cu Ka).
Neutral-atom scattering factors, no anomalous dispersion.

Principal peaks in the range 10 to 90 degrees two-theta, by intensity:
16.9 deg, d 5.236, I 100; 35.1 deg, d 2.556, I 99; 46.5 deg, d 1.952, I 98; 43.7 deg, d 2.071, I 64; 23.1 deg, d 3.852, I 59; 82.3 deg, d 1.171, I 36; 47.2 deg, d 1.926, I 27; 74.7 deg, d 1.271, I 21; 63.5 deg, d 1.464, I 21; 33.6 deg, d 2.669, I 16; 88.3 deg, d 1.107, I 15; 70.6 deg, d 1.335, I 15

Atomic structure:
Cell lengths 4.142, 4.142, 10.473 Å; angles 90.00, 90.00, 90.00 degrees
Space group I4/mmm (No. 139)
One atom of each set of equivalent atoms:
Li: 0.000 0.000 0.000
Ge: 0.000 0.000 0.385
Pd: 0.000 0.500 0.250


Entry 11:
Structure and theoretical PXRD pattern of LiPmGe4Pd2 (DFT lattice parameters and positions (PBE); Cu Ka).
Neutral-atom scattering factors, no anomalous dispersion.

Principal peaks in the range 10 to 90 degrees two-theta, by intensity:
35.7 deg, d 2.514, I 100; 41.9 deg, d 2.157, I 88; 29.0 deg, d 3.079, I 31; 56.2 deg, d 1.637, I 27; 72.5 deg, d 1.304, I 25; 24.0 deg, d 3.701, I 17; 76.5 deg, d 1.245, I 15; 33.3 deg, d 2.693, I 13; 19.6 deg, d 4.531, I 13; 63.3 deg, d 1.470, I 10; 52.1 deg, d 1.755, I 10; 59.8 deg, d 1.547, I 9

Atomic structure:
Cell lengths 4.3142, 4.3142, 27.1863 Å; angles 90.00, 90.00, 120.00 degrees
Space group R-3m (No. 166, hexagonal axes)
One atom of each set of equivalent atoms:
Li: 0.0000 0.0000 0.0000
Pm: 0.0000 0.0000 0.5000
Ge: 0.0000 0.0000 0.1037
Ge: 0.0000 0.0000 0.3753
Pd: 0.0000 0.0000 0.2588


Entry 12:
Structure and theoretical PXRD pattern of LiGePdPt (DFT lattice parameters and positions (PBE); Cu Ka).
Neutral-atom scattering factors, no anomalous dispersion.

Principal peaks in the range 10 to 90 degrees two-theta, by intensity:
42.0 deg, d 2.150, I 100; 29.4 deg, d 3.040, I 44; 76.8 deg, d 1.241, I 34; 25.4 deg, d 3.511, I 20; 60.9 deg, d 1.520, I 17; 69.1 deg, d 1.360, I 16; 52.1 deg, d 1.755, I 12; 49.7 deg, d 1.833, I 10; 67.1 deg, d 1.395, I 4; 82.4 deg, d 1.170, I 3

Atomic structure:
Cell lengths 6.081, 6.081, 6.081 Å; angles 90.00, 90.00, 90.00 degrees
Space group F-43m (No. 216)
One atom of each set of equivalent atoms:
Li: 0.000 0.000 0.000
Ge: 0.000 0.000 0.500
Pd: 0.250 0.250 0.750
Pt: 0.250 0.250 0.250